# 1
Simulated powder X-ray diffraction pattern
Compound: TiAlFe2
Radiation: Cu Kα (λ = 1.5418 Å)
Structure: a DFT-relaxed cell (GGA-PBE, the Materials Project)
Lines closer than 0.1° are merged.

Atomic structure:
```
data_TiAlFe2
_cell_length_a 2.931
_cell_length_b 2.931
_cell_length_c 5.758
_cell_angle_alpha 90.00
_cell_angle_beta 90.00
_cell_angle_gamma 90.00
_space_group_name_H-M_alt 'P 4/m m m'
_space_group_IT_number 123
_space_group_name_Hall '-P 4 2'
loop_
_atom_site_label
_atom_site_fract_x
_atom_site_fract_y
_atom_site_fract_z
_atom_site_occupancy
Ti1 0.000 0.000 0.000 1
Al1 0.000 0.000 0.500 1
Fe1 0.500 0.500 0.252 1
```

Principal peaks in the range 2θ from 5° to 70°, low angle first:
| two_theta | d (Å) | I (rel.) | (hkl) |
| --- | --- | --- | --- |
| 15.39 | 5.758 | 4 | 0 0 1 |
| 30.50 | 2.931 | 7 | 1 0 0 |
| 31.07 | 2.879 | 4 | 0 0 2 |
| 34.33 | 2.612 | 3 | 1 0 1 |
| 43.67 | 2.073 | 52 | 1 1 0 |
| 44.09 | 2.054 | 100 | 1 0 2 |
| 46.57 | 1.950 | 1 | 1 1 1 |
| 54.56 | 1.682 | 3 | 1 1 2 |
| 63.47 | 1.466 | 15 | 2 0 0 |
| 64.77 | 1.439 | 7 | 0 0 4 |

# 2
Simulated powder X-ray diffraction pattern
Compound: MgCo2Si
Radiation: Cu Kα (λ = 1.5418 Å)
Structure: a DFT-relaxed cell (GGA-PBE, the Materials Project)
Lines closer than 0.1° are merged.

Atomic structure:
```
data_MgCo2Si
_cell_length_a 5.710
_cell_length_b 5.710
_cell_length_c 5.710
_cell_angle_alpha 90.00
_cell_angle_beta 90.00
_cell_angle_gamma 90.00
_space_group_name_H-M_alt 'F m -3 m'
_space_group_IT_number 225
_space_group_name_Hall '-F 4 2 3'
loop_
_atom_site_label
_atom_site_fract_x
_atom_site_fract_y
_atom_site_fract_z
_atom_site_occupancy
Mg1 0.000 0.000 0.000 1
Co1 0.250 0.250 0.250 1
Si1 0.000 0.000 0.500 1
```

Principal peaks in the range 2θ from 5° to 70°, low angle first:
| two_theta | d (Å) | I (rel.) | (hkl) |
| --- | --- | --- | --- |
| 31.33 | 2.855 | 22 | 2 0 0 |
| 44.90 | 2.019 | 100 | 2 2 0 |
| 55.77 | 1.648 | 5 | 2 2 2 |
| 65.37 | 1.428 | 15 | 4 0 0 |

# 3
Simulated powder X-ray diffraction pattern
Compound: MnAl2Cr3
Radiation: Cu Kα (λ = 1.5418 Å)
Structure: a DFT-relaxed cell (GGA-PBE, the Materials Project)
Lines closer than 0.1° are merged.

Atomic structure:
```
data_MnAl2Cr3
_cell_length_a 2.917
_cell_length_b 2.917
_cell_length_c 8.714
_cell_angle_alpha 90.00
_cell_angle_beta 90.00
_cell_angle_gamma 90.00
_space_group_name_H-M_alt 'P 4 m m'
_space_group_IT_number 99
loop_
_space_group_symop_operation_xyz
'x,y,z'
'-y,x,z'
'-x,-y,z'
'y,-x,z'
'-x,y,z'
'y,x,z'
'x,-y,z'
'-y,-x,z'
loop_
_atom_site_label
_atom_site_fract_x
_atom_site_fract_y
_atom_site_fract_z
_atom_site_occupancy
Mn1 0.000 0.000 0.000 1
Al1 0.000 0.000 0.321 1
Al2 0.500 0.500 0.824 1
Cr1 0.000 0.000 0.638 1
Cr2 0.500 0.500 0.140 1
Cr3 0.500 0.500 0.507 1
```

Principal peaks in the range 2θ from 5° to 70°, low angle first:
| two_theta | d (Å) | I (rel.) | (hkl) |
| --- | --- | --- | --- |
| 20.38 | 4.357 | 15 | 0 0 2 |
| 32.37 | 2.766 | 3 | 1 0 1 |
| 43.96 | 2.060 | 100 | 1 1 0 |
| 48.85 | 1.864 | 5 | 1 1 2 |
| 62.03 | 1.496 | 5 | 1 0 5 |
| 63.82 | 1.458 | 10 | 2 0 0 |
| 64.12 | 1.452 | 4 | 0 0 6 |
| 67.76 | 1.383 | 2 | 2 0 2 |

# 4
Simulated powder X-ray diffraction pattern
Compound: InReGe
Radiation: Cu Kα (λ = 1.5418 Å)
Structure: a DFT-relaxed cell (GGA-PBE, the Materials Project)
Lines closer than 0.1° are merged.

Atomic structure:
```
data_InReGe
_cell_length_a 6.254
_cell_length_b 6.254
_cell_length_c 6.254
_cell_angle_alpha 90.00
_cell_angle_beta 90.00
_cell_angle_gamma 90.00
_space_group_name_H-M_alt 'F -4 3 m'
_space_group_IT_number 216
_space_group_name_Hall 'F -4 2 3'
loop_
_atom_site_label
_atom_site_fract_x
_atom_site_fract_y
_atom_site_fract_z
_atom_site_occupancy
In1 0.000 0.000 0.000 1
Re1 0.250 0.250 0.750 1
Ge1 0.000 0.000 0.500 1
```

Principal peaks in the range 2θ from 5° to 70°, low angle first:
| two_theta | d (Å) | I (rel.) | (hkl) |
| --- | --- | --- | --- |
| 24.65 | 3.611 | 62 | 1 1 1 |
| 40.81 | 2.211 | 100 | 2 2 0 |
| 48.26 | 1.886 | 31 | 3 1 1 |
| 59.08 | 1.564 | 17 | 4 0 0 |
| 65.00 | 1.435 | 13 | 3 3 1 |

# 5
Simulated powder X-ray diffraction pattern
Compound: CrSb2
Radiation: Cu Kα (λ = 1.5418 Å)
Structure: a DFT-relaxed cell (GGA-PBE, the Materials Project)
Lines closer than 0.1° are merged.

Atomic structure:
```
data_CrSb2
_cell_length_a 6.004
_cell_length_b 6.903
_cell_length_c 3.433
_cell_angle_alpha 90.00
_cell_angle_beta 90.00
_cell_angle_gamma 90.00
_space_group_name_H-M_alt 'P n n m'
_space_group_IT_number 58
loop_
_space_group_symop_operation_xyz
'x,y,z'
'-x,-y,-z'
'-x,-y,z'
'x,y,-z'
'x+1/2,-y+1/2,-z+1/2'
'-x+1/2,y+1/2,z+1/2'
'-x+1/2,y+1/2,-z+1/2'
'x+1/2,-y+1/2,z+1/2'
loop_
_atom_site_label
_atom_site_fract_x
_atom_site_fract_y
_atom_site_fract_z
_atom_site_occupancy
Cr1 0.000 0.000 0.000 1
Sb1 0.182 0.362 0.000 1
```

Principal peaks in the range 2θ from 5° to 70°, low angle first:
| two_theta | d (Å) | I (rel.) | (hkl) |
| --- | --- | --- | --- |
| 29.05 | 3.074 | 21 | 0 1 1 |
| 29.85 | 2.993 | 100 | 1 2 0 |
| 29.99 | 2.980 | 45 | 1 0 1 |
| 32.53 | 2.753 | 29 | 2 1 0 |
| 32.73 | 2.736 | 84 | 1 1 1 |
| 42.07 | 2.148 | 50 | 2 1 1 |
| 47.29 | 1.922 | 22 | 3 1 0 |
| 47.57 | 1.911 | 35 | 0 3 1 |
| 48.13 | 1.891 | 32 | 2 2 1 |
| 62.37 | 1.489 | 24 | 1 2 2 |

# 6
Simulated powder X-ray diffraction pattern
Compound: TmSnAu
Radiation: Cu Kα (λ = 1.5418 Å)
Structure: a DFT-relaxed cell (GGA-PBE, the Materials Project)
Lines closer than 0.1° are merged.

Atomic structure:
```
data_TmSnAu
_cell_length_a 4.6824
_cell_length_b 4.6824
_cell_length_c 7.4075
_cell_angle_alpha 90.00
_cell_angle_beta 90.00
_cell_angle_gamma 120.00
_space_group_name_H-M_alt 'P 63 m c'
_space_group_IT_number 186
_space_group_name_Hall 'P 6c -2c'
loop_
_atom_site_label
_atom_site_fract_x
_atom_site_fract_y
_atom_site_fract_z
_atom_site_occupancy
Tm1 0.0000 0.0000 0.0000 1
Sn1 0.3333 0.6667 0.2282 1
Au1 0.3333 0.6667 0.8346 1
```

Principal peaks in the range 2θ from 5° to 70°, low angle first:
| two_theta | d (Å) | I (rel.) | (hkl) |
| --- | --- | --- | --- |
| 25.03 | 3.557 | 30 | 1 0 1 |
| 32.75 | 2.735 | 100 | 1 0 2 |
| 38.45 | 2.341 | 97 | 1 1 0 |
| 42.88 | 2.109 | 34 | 1 0 3 |
| 45.85 | 1.979 | 11 | 1 1 2 |
| 51.38 | 1.778 | 29 | 2 0 2 |
| 58.94 | 1.567 | 13 | 2 0 3 |
| 65.96 | 1.416 | 27 | 2 1 2 |
| 67.28 | 1.392 | 12 | 1 0 5 |
| 69.55 | 1.352 | 17 | 3 0 0 |